This entry pairs a crystal structure of Sr8MgMn6O20 with its theoretical powder diffraction line list. Radiation: Cu Kα. Structure: a cell relaxed with PBE+U.
Peak positions follow from Bragg's law for the DFT cell and can differ from measured ones.

The 10 most intense peaks (10° ≤ 2θ ≤ 90°), most intense first:
d (Å)	Rel. int.
2.792	100
2.986	49
3.041	43
3.520	41
2.775	39
3.063	39
2.073	39
2.946	38
2.649	36
2.748	35

Structural model:
```
data_Sr8MgMn6O20
_cell_length_a 5.5953
_cell_length_b 6.8058
_cell_length_c 14.1104
_cell_angle_alpha 87.67
_cell_angle_beta 86.48
_cell_angle_gamma 65.92
_symmetry_space_group_name_H-M 'P 1'
_symmetry_Int_Tables_number 1
loop_
_symmetry_equiv_pos_as_xyz
'x,y,z'
loop_
_atom_site_label
_atom_site_fract_x
_atom_site_fract_y
_atom_site_fract_z
Sr1 0.0000 0.0000 0.0000
Sr2 0.0371 0.0375 0.5926
Sr3 0.2798 0.6022 0.3575
Sr4 0.3228 0.4611 0.6076
Sr5 0.5131 0.0259 0.8198
Sr6 0.5795 0.0071 0.4127
Sr7 0.7153 0.5922 0.0965
Sr8 0.7981 0.4585 0.8169
Mg1 0.8247 0.0640 0.2040
Mn1 0.1522 0.7544 0.8091
Mn2 0.2732 0.5026 0.9596
Mn3 0.3533 0.2745 0.1182
Mn4 0.6662 0.7695 0.6236
Mn5 0.8114 0.5171 0.4770
Mn6 0.9448 0.2782 0.3258
O1 0.0049 0.9806 0.3215
O2 0.0440 0.2536 0.1853
O3 0.1593 0.3078 0.4471
O4 0.1732 0.5980 0.0893
O5 0.1766 0.2737 0.9974
O6 0.3362 0.4258 0.8233
O7 0.3966 0.7246 0.9182
O8 0.4067 0.7538 0.7154
O9 0.4544 0.7314 0.5031
O10 0.5020 0.3277 0.2280
O11 0.5232 0.0718 0.6242
O12 0.5957 0.3261 0.0147
O13 0.6141 0.9799 0.1219
O14 0.6948 0.3085 0.4411
O15 0.8032 0.5925 0.3405
O16 0.8217 0.4422 0.6130
O17 0.9261 0.7399 0.7195
O18 0.9266 0.7379 0.5140
O19 0.9329 0.7073 0.9157
O20 0.9870 0.0603 0.8198
```